For Nd7Y4Th, a structure optimized by DFT (GGA-PBE) gives the theoretical PXRD pattern in this record (Cu Kα, 1.54184 Å).
No peak broadening, texture or thermal motion is included.

Peak list (8 most intense, 10° ≤ 2θ ≤ 90°, by intensity)
2.885 Å, I = 100; 1.666 Å, I = 29; 2.040 Å, I = 19; 1.504 Å, I = 14; 1.091 Å, I = 10; 1.291 Å, I = 8; 1.211 Å, I = 7; 1.444 Å, I = 6

Cell lengths 5.7753, 5.7753, 14.1006 Å; angles 90.00, 90.00, 120.00 degrees
Atoms (fractional coordinates):
Nd 0.0000 0.0000 0.0000
Nd 0.0000 0.0000 0.2488
Nd 0.0000 0.0000 0.7512
Nd 0.3333 0.6667 0.3730
Nd 0.3333 0.6667 0.6270
Nd 0.6667 0.3333 0.3730
Nd 0.6667 0.3333 0.6270
Y 0.3333 0.6667 0.1230
Y 0.3333 0.6667 0.8770
Y 0.6667 0.3333 0.1230
Y 0.6667 0.3333 0.8770
Th 0.0000 0.0000 0.5000